Entry 1:
This entry pairs a crystal structure of Li4MnV3P8O28 with its simulated XRD peak list. Radiation: Cu Kα X-rays. Structure: the PBE+U geometry in the Materials Project.
Lines closer than 0.1° are merged.

Largest 8 diffraction maxima, by angle, 10° ≤ 2θ ≤ 80°:
2θ = 16.98°, intensity 100.0; 2θ = 17.12°, intensity 97.6; 2θ = 22.24°, intensity 45.5; 2θ = 22.40°, intensity 47.3; 2θ = 26.82°, intensity 43.7; 2θ = 28.94°, intensity 68.9; 2θ = 29.05°, intensity 57.7; 2θ = 29.29°, intensity 56.1

abc: 7.1614 9.5932 9.6385
angles: 119.12 100.24 100.88
Sites, in units of the cell vectors:
Li 0.0000 0.0000 0.0000
Li 0.9998 0.4983 0.4987
Li 0.3497 0.2493 0.7481
Li 0.3499 0.7472 0.2466
Mn 0.9431 0.3087 0.6711
V 0.4027 0.0734 0.9345
V 0.4031 0.5742 0.4365
V 0.9467 0.8110 0.1724
P 0.1531 0.8471 0.5275
P 0.1570 0.3480 0.0289
P 0.1966 0.7172 0.8995
P 0.1980 0.2184 0.4006
P 0.5888 0.2733 0.3474
P 0.5891 0.7728 0.8502
P 0.7620 0.8971 0.4737
P 0.7629 0.3953 0.9735
O 0.0670 0.5507 0.7355
O 0.0705 0.0518 0.2363
O 0.1565 0.2321 0.5572
O 0.1568 0.7341 0.0573
O 0.1692 0.8602 0.3778
O 0.1802 0.3645 0.8836
O 0.1811 0.8674 0.8861
O 0.1816 0.3682 0.3873
O 0.1924 0.6892 0.5120
O 0.1927 0.1884 0.0132
O 0.2802 0.0106 0.6938
O 0.2798 0.5113 0.1977
O 0.4274 0.7220 0.9309
O 0.4284 0.2224 0.4299
O 0.5218 0.1295 0.1644
O 0.5262 0.6306 0.6676
O 0.5610 0.7925 0.4569
O 0.5623 0.2922 0.9587
O 0.5887 0.4426 0.3676
O 0.5917 0.9420 0.8695
O 0.7595 0.3775 0.8049
O 0.7604 0.8792 0.3066
O 0.7889 0.7894 0.9540
O 0.7898 0.2896 0.4467
O 0.8200 0.0809 0.6180
O 0.8237 0.5790 0.1157
O 0.9218 0.8159 0.5234
O 0.9240 0.3156 0.0224



Entry 2:
This entry pairs a crystal structure of ScZnMo3O8 with its simulated XRD peak list. Radiation: Cu Kα X-rays. Structure: the PBE+U geometry in the Materials Project.
Lines closer than 0.1° are merged.

Largest 8 diffraction maxima, by angle, 10° ≤ 2θ ≤ 80°:
2θ = 18.45°, intensity 68.9; 2θ = 24.64°, intensity 39.4; 2θ = 32.36°, intensity 46.1; 2θ = 33.95°, intensity 54.2; 2θ = 34.07°, intensity 100.0; 2θ = 43.48°, intensity 31.8; 2θ = 58.43°, intensity 41.7; 2θ = 58.67°, intensity 46.0

abc: 6.3181 6.3181 9.6188
angles: 90.00 90.00 120.00
Sites, in units of the cell vectors:
Sc 0.3333 0.6667 0.0000
Sc 0.6667 0.3333 0.5000
Zn 0.3333 0.6667 0.3882
Zn 0.6667 0.3333 0.8882
Mo 0.1645 0.3291 0.7137
Mo 0.1645 0.8355 0.7137
Mo 0.3291 0.1645 0.2137
Mo 0.6709 0.8355 0.7137
Mo 0.8355 0.1645 0.2137
Mo 0.8355 0.6709 0.2137
O 0.0000 0.0000 0.3232
O 0.0000 0.0000 0.8232
O 0.0357 0.5178 0.8445
O 0.1700 0.3399 0.1156
O 0.1700 0.8300 0.1156
O 0.3333 0.6667 0.5972
O 0.3399 0.1700 0.6156
O 0.4822 0.5178 0.8445
O 0.4822 0.9643 0.8445
O 0.5178 0.0357 0.3445
O 0.5178 0.4822 0.3445
O 0.6601 0.8300 0.1156
O 0.6667 0.3333 0.0972
O 0.8300 0.1700 0.6156
O 0.8300 0.6601 0.6156
O 0.9643 0.4822 0.3445



Entry 3:
This entry pairs a crystal structure of BaFeF4 with its simulated XRD peak list. Radiation: Cu Kα X-rays. Structure: the PBE+U geometry in the Materials Project.
Lines closer than 0.1° are merged.

Largest 8 diffraction maxima, by angle, 10° ≤ 2θ ≤ 80°:
2θ = 23.34°, intensity 35.7; 2θ = 26.27°, intensity 100.0; 2θ = 27.13°, intensity 29.7; 2θ = 27.87°, intensity 49.9; 2θ = 30.31°, intensity 28.1; 2θ = 39.29°, intensity 36.6; 2θ = 41.13°, intensity 47.8; 2θ = 41.93°, intensity 30.3

abc: 7.9203 7.9203 5.8973
angles: 90.00 90.00 148.43
Sites, in units of the cell vectors:
Ba 0.1532 0.8468 0.5000
Ba 0.8468 0.1532 0.0000
Fe 0.4142 0.5858 0.4580
Fe 0.5858 0.4142 0.9580
F 0.0827 0.9173 0.9443
F 0.3023 0.6977 0.2620
F 0.3299 0.6701 0.7329
F 0.4675 0.5325 0.1113
F 0.5325 0.4675 0.6113
F 0.6701 0.3299 0.2329
F 0.6977 0.3023 0.7620
F 0.9173 0.0827 0.4443



Entry 4:
This entry pairs a crystal structure of Li2FeBO4 with its simulated XRD peak list. Radiation: Cu Kα X-rays. Structure: the PBE+U geometry in the Materials Project.
Lines closer than 0.1° are merged.

Largest 8 diffraction maxima, by angle, 10° ≤ 2θ ≤ 80°:
2θ = 22.56°, intensity 99.8; 2θ = 23.18°, intensity 100.0; 2θ = 25.22°, intensity 27.7; 2θ = 33.85°, intensity 46.9; 2θ = 35.15°, intensity 38.3; 2θ = 36.77°, intensity 46.6; 2θ = 43.60°, intensity 27.3; 2θ = 62.22°, intensity 22.1

abc: 10.2160 4.8888 6.1938
angles: 90.00 90.00 90.00
Sites, in units of the cell vectors:
Li 0.0794 0.2116 0.0000
Li 0.1582 0.6893 0.2479
Li 0.3418 0.1893 0.7479
Li 0.4206 0.7116 0.5000
Li 0.5794 0.2884 0.0000
Li 0.6582 0.8107 0.2479
Li 0.8418 0.3107 0.7479
Li 0.9206 0.7884 0.5000
Fe 0.1622 0.6864 0.7516
Fe 0.3378 0.1864 0.2516
Fe 0.6622 0.8136 0.7516
Fe 0.8378 0.3136 0.2516
B 0.0910 0.1834 0.4983
B 0.4090 0.6834 0.9983
B 0.5910 0.3166 0.4983
B 0.9090 0.8166 0.9983
O 0.0523 0.7520 0.9925
O 0.1050 0.8773 0.5058
O 0.1526 0.2994 0.6988
O 0.1580 0.2866 0.2987
O 0.3420 0.7866 0.7987
O 0.3474 0.7994 0.1988
O 0.3950 0.3773 0.0058
O 0.4477 0.2520 0.4925
O 0.5523 0.7480 0.9925
O 0.6050 0.6227 0.5058
O 0.6526 0.2006 0.6988
O 0.6580 0.2134 0.2987
O 0.8420 0.7134 0.7987
O 0.8474 0.7006 0.1988
O 0.8950 0.1227 0.0058
O 0.9477 0.2480 0.4925



Entry 5:
This entry pairs a crystal structure of CaNiF5 with its simulated XRD peak list. Radiation: Cu Kα X-rays. Structure: the PBE+U geometry in the Materials Project.
Lines closer than 0.1° are merged.

Largest 8 diffraction maxima, by angle, 10° ≤ 2θ ≤ 80°:
2θ = 17.80°, intensity 28.3; 2θ = 22.06°, intensity 99.8; 2θ = 25.55°, intensity 16.9; 2θ = 27.00°, intensity 100.0; 2θ = 28.14°, intensity 40.7; 2θ = 44.99°, intensity 30.2; 2θ = 46.99°, intensity 24.8; 2θ = 49.12°, intensity 27.8

abc: 5.4817 5.4817 7.7357
angles: 110.71 110.71 70.68
Sites, in units of the cell vectors:
Ca 0.0492 0.9508 0.7500
Ca 0.9508 0.0492 0.2500
Ni 0.5000 0.5000 0.0000
Ni 0.5000 0.5000 0.5000
F 0.2016 0.7817 0.0317
F 0.2183 0.7984 0.4683
F 0.2633 0.2922 0.3913
F 0.2922 0.2633 0.8913
F 0.4150 0.5850 0.7500
F 0.5850 0.4150 0.2500
F 0.7078 0.7367 0.1087
F 0.7367 0.7078 0.6087
F 0.7817 0.2016 0.5317
F 0.7984 0.2183 0.9683



Entry 6:
This entry pairs a crystal structure of MnCd4O5 with its simulated XRD peak list. Radiation: Cu Kα X-rays. Structure: the PBE+U geometry in the Materials Project.
Lines closer than 0.1° are merged.

Largest 8 diffraction maxima, by angle, 10° ≤ 2θ ≤ 80°:
2θ = 32.79°, intensity 100.0; 2θ = 38.04°, intensity 94.7; 2θ = 54.87°, intensity 49.9; 2θ = 55.00°, intensity 10.0; 2θ = 65.35°, intensity 13.6; 2θ = 65.46°, intensity 20.3; 2θ = 68.69°, intensity 9.7; 2θ = 68.79°, intensity 9.6

abc: 7.4888 7.4888 11.1026
angles: 101.76 101.76 25.76
Sites, in units of the cell vectors:
Mn 0.1000 0.1000 0.2996
Mn 0.9000 0.9000 0.7004
Cd 0.0000 0.0000 0.0000
Cd 0.1983 0.1983 0.5961
Cd 0.3000 0.3000 0.8972
Cd 0.3999 0.3999 0.2013
Cd 0.5000 0.5000 0.5000
Cd 0.6001 0.6001 0.7987
Cd 0.7000 0.7000 0.1028
Cd 0.8017 0.8017 0.4039
O 0.0458 0.0458 0.6513
O 0.1494 0.1494 0.9503
O 0.2465 0.2465 0.2553
O 0.3534 0.3534 0.5602
O 0.4469 0.4469 0.8406
O 0.5531 0.5531 0.1594
O 0.6466 0.6466 0.4398
O 0.7535 0.7535 0.7447
O 0.8506 0.8506 0.0497
O 0.9542 0.9542 0.3487